ZrGa3Ir4: computed powder diffractogram (Cu Kα X-rays), based on a structure optimized by DFT (GGA-PBE).
Neutral-atom scattering factors, no anomalous dispersion.

Structure:
```
data_ZrGa3Ir4
_cell_length_a 4.196
_cell_length_b 4.196
_cell_length_c 6.924
_cell_angle_alpha 90.00
_cell_angle_beta 90.00
_cell_angle_gamma 90.00
_symmetry_space_group_name_H-M 'P 4/m m m'
_symmetry_Int_Tables_number 123
_symmetry_space_group_name_Hall '-P 4 2'
loop_
_atom_site_label
_atom_site_fract_x
_atom_site_fract_y
_atom_site_fract_z
Zr1 0.000 0.000 0.000
Ga1 0.000 0.000 0.500
Ga2 0.500 0.500 0.000
Ga3 0.500 0.500 0.500
Ir1 0.000 0.500 0.268
```

Main lines, in order of rising 2θ (2θ = 10–90°):
| d/Å | I/Imax |
| --- | --- |
| 3.462 | 13 |
| 2.967 | 19 |
| 2.253 | 100 |
| 2.098 | 42 |
| 1.794 | 8 |
| 1.731 | 10 |
| 1.484 | 14 |
| 1.335 | 17 |
| 1.239 | 29 |
| 1.126 | 10 |

Zr4Ga6Ir7: computed powder diffractogram (Cu Kα X-rays), based on a structure optimized by DFT (GGA-PBE).
Neutral-atom scattering factors, no anomalous dispersion.

Structure:
```
data_Zr4Ga6Ir7
_cell_length_a 8.245
_cell_length_b 8.245
_cell_length_c 8.245
_cell_angle_alpha 90.00
_cell_angle_beta 90.00
_cell_angle_gamma 90.00
_symmetry_space_group_name_H-M 'I m -3 m'
_symmetry_Int_Tables_number 229
_symmetry_space_group_name_Hall '-I 4 2 3'
loop_
_atom_site_label
_atom_site_fract_x
_atom_site_fract_y
_atom_site_fract_z
Zr1 0.250 0.250 0.250
Ga1 0.000 0.000 0.307
Ir1 0.000 0.000 0.000
Ir2 0.000 0.250 0.500
```

Main lines, in order of rising 2θ (2θ = 10–90°):
| d/Å | I/Imax |
| --- | --- |
| 4.122 | 16 |
| 3.366 | 34 |
| 2.380 | 100 |
| 2.204 | 51 |
| 2.061 | 73 |
| 1.758 | 23 |
| 1.457 | 42 |
| 1.243 | 30 |
| 1.216 | 14 |
| 1.122 | 14 |

Zr4GaIr: computed powder diffractogram (Cu Kα X-rays), based on a structure optimized by DFT (GGA-PBE).
Neutral-atom scattering factors, no anomalous dispersion.

Structure:
```
data_Zr4GaIr
_cell_length_a 6.706
_cell_length_b 6.706
_cell_length_c 5.413
_cell_angle_alpha 90.00
_cell_angle_beta 90.00
_cell_angle_gamma 90.00
_symmetry_space_group_name_H-M 'I 4 2 2'
_symmetry_Int_Tables_number 97
_symmetry_space_group_name_Hall 'I 4 2'
loop_
_atom_site_label
_atom_site_fract_x
_atom_site_fract_y
_atom_site_fract_z
Zr1 0.160 0.340 0.250
Ga1 0.000 0.000 0.000
Ir1 0.000 0.000 0.500
```

Main lines, in order of rising 2θ (2θ = 10–90°):
| d/Å | I/Imax |
| --- | --- |
| 4.742 | 27 |
| 4.212 | 23 |
| 2.623 | 100 |
| 2.371 | 22 |
| 2.351 | 53 |
| 2.121 | 61 |
| 2.106 | 49 |
| 1.546 | 19 |
| 1.425 | 20 |
| 1.365 | 26 |

Zr2Ga2Ir: computed powder diffractogram (Cu Kα X-rays), based on a structure optimized by DFT (GGA-PBE).
Neutral-atom scattering factors, no anomalous dispersion.

Structure:
```
data_Zr2Ga2Ir
_cell_length_a 6.675
_cell_length_b 6.675
_cell_length_c 8.029
_cell_angle_alpha 90.00
_cell_angle_beta 90.00
_cell_angle_gamma 90.00
_symmetry_space_group_name_H-M 'P 4/m n c'
_symmetry_Int_Tables_number 128
_symmetry_space_group_name_Hall '-P 4 2n'
loop_
_atom_site_label
_atom_site_fract_x
_atom_site_fract_y
_atom_site_fract_z
Zr1 0.170 0.325 0.000
Ga1 0.134 0.634 0.250
Ir1 0.000 0.000 0.297
```

Main lines, in order of rising 2θ (2θ = 10–90°):
| d/Å | I/Imax |
| --- | --- |
| 3.058 | 28 |
| 2.566 | 60 |
| 2.484 | 21 |
| 2.396 | 100 |
| 2.360 | 25 |
| 2.111 | 73 |
| 2.007 | 20 |
| 1.993 | 20 |
| 1.868 | 18 |
| 1.455 | 19 |

KGa12: computed powder diffractogram (Cu Kα X-rays), based on a structure optimized by DFT (GGA-PBE).
Neutral-atom scattering factors, no anomalous dispersion.

Structure:
```
data_KGa12
_cell_length_a 10.876
_cell_length_b 10.876
_cell_length_c 10.876
_cell_angle_alpha 90.00
_cell_angle_beta 90.00
_cell_angle_gamma 90.00
_symmetry_space_group_name_H-M 'F m -3 m'
_symmetry_Int_Tables_number 225
_symmetry_space_group_name_Hall '-F 4 2 3'
loop_
_atom_site_label
_atom_site_fract_x
_atom_site_fract_y
_atom_site_fract_z
K1 0.000 0.000 0.000
Ga1 0.000 0.170 0.330
```

Main lines, in order of rising 2θ (2θ = 10–90°):
| d/Å | I/Imax |
| --- | --- |
| 6.279 | 53 |
| 3.845 | 34 |
| 3.279 | 85 |
| 3.140 | 33 |
| 2.220 | 29 |
| 2.093 | 100 |
| 1.838 | 35 |
| 1.813 | 60 |
| 1.282 | 36 |
| 1.093 | 32 |

KGa7: computed powder diffractogram (Cu Kα X-rays), based on a structure optimized by DFT (GGA-PBE).
Neutral-atom scattering factors, no anomalous dispersion.

Structure:
```
data_KGa7
_cell_length_a 11.302
_cell_length_b 7.146
_cell_length_c 4.839
_cell_angle_alpha 90.00
_cell_angle_beta 115.19
_cell_angle_gamma 90.00
_symmetry_space_group_name_H-M 'C 1 2/m 1'
_symmetry_Int_Tables_number 12
_symmetry_space_group_name_Hall '-C 2y'
loop_
_atom_site_label
_atom_site_fract_x
_atom_site_fract_y
_atom_site_fract_z
K1 0.000 0.000 0.000
Ga1 0.000 0.500 0.000
Ga2 0.132 0.318 0.633
Ga3 0.246 0.500 0.248
```

Main lines, in order of rising 2θ (2θ = 10–90°):
| d/Å | I/Imax |
| --- | --- |
| 5.858 | 69 |
| 3.154 | 25 |
| 2.787 | 94 |
| 2.767 | 100 |
| 2.420 | 85 |
| 2.155 | 71 |
| 2.137 | 82 |
| 2.079 | 71 |
| 1.579 | 29 |
| 1.575 | 29 |